# 1
Simulated PXRD pattern
Compound: Ca2LaPd4
Radiation: Cu Kα, 1.54184 Å
Structure: the GGA-PBE geometry in Alexandria
Lines closer than 0.1° are merged.

Cell and atoms:
abc: 7.3819 7.3819 6.0457
angles: 90.00 90.00 90.00
Sites, in units of the cell vectors:
1 Ca 0.0000 0.5000 0.0000
2 Ca 0.0000 0.5000 0.5000
3 Ca 0.5000 0.0000 0.0000
4 Ca 0.5000 0.0000 0.5000
5 La 0.0000 0.0000 0.0000
6 La 0.5000 0.5000 0.5000
7 Pd 0.2500 0.2500 0.2500
8 Pd 0.2500 0.2500 0.7500
9 Pd 0.2500 0.7500 0.2500
10 Pd 0.2500 0.7500 0.7500
11 Pd 0.7500 0.2500 0.2500
12 Pd 0.7500 0.2500 0.7500
13 Pd 0.7500 0.7500 0.2500
14 Pd 0.7500 0.7500 0.7500

Top 10 peaks for 10° ≤ 2θ ≤ 90°, in order of rising 2θ:
d [Å], 2θ (°), I (rel.)
4.677, 18.97, 26
3.691, 24.11, 18
2.897, 30.86, 16
2.610, 34.36, 69
2.339, 38.50, 100
1.846, 49.38, 25
1.449, 64.30, 42
1.308, 72.23, 15
1.169, 82.49, 10
1.167, 82.67, 10



# 2
Simulated PXRD pattern
Compound: CaLa2Pd4
Radiation: Cu Kα, 1.54184 Å
Structure: the GGA-PBE geometry in Alexandria
Lines closer than 0.1° are merged.

Cell and atoms:
abc: 5.2244 5.4712 7.0653
angles: 102.75 90.79 113.88
Sites, in units of the cell vectors:
1 Ca 0.0000 0.0000 0.0000
2 La 0.4986 0.6896 0.3087
3 La 0.5014 0.3104 0.6913
4 Pd 0.0000 0.5000 0.0000
5 Pd 0.1963 0.6699 0.6518
6 Pd 0.5000 0.0000 0.0000
7 Pd 0.8037 0.3301 0.3482

Top 10 peaks for 10° ≤ 2θ ≤ 90°, in order of rising 2θ:
d [Å], 2θ (°), I (rel.)
4.445, 19.97, 91
3.704, 24.02, 49
3.541, 25.15, 53
2.942, 30.39, 64
2.667, 33.60, 51
2.464, 36.46, 89
2.449, 36.69, 100
2.429, 37.01, 59
2.282, 39.50, 94
2.259, 39.91, 43



# 3
Simulated PXRD pattern
Compound: Ca5LaPd6
Radiation: Cu Kα, 1.54184 Å
Structure: the GGA-PBE geometry in Alexandria
Lines closer than 0.1° are merged.

Cell and atoms:
abc: 7.9218 7.9218 7.1780
angles: 90.00 90.00 142.98
Sites, in units of the cell vectors:
1 Ca 0.0000 0.0000 0.0000
2 Ca 0.3289 0.6711 0.5000
3 Ca 0.3331 0.6669 0.0000
4 Ca 0.6669 0.3331 0.0000
5 Ca 0.6711 0.3289 0.5000
6 La 0.0000 0.0000 0.5000
7 Pd 0.1636 0.8364 0.2501
8 Pd 0.1636 0.8364 0.7499
9 Pd 0.5000 0.5000 0.2558
10 Pd 0.5000 0.5000 0.7442
11 Pd 0.8364 0.1636 0.2501
12 Pd 0.8364 0.1636 0.7499

Top 10 peaks for 10° ≤ 2θ ≤ 90°, in order of rising 2θ:
d [Å], 2θ (°), I (rel.)
3.549, 25.09, 11
2.524, 35.58, 100
2.515, 35.70, 25
2.504, 35.86, 24
1.794, 50.88, 9
1.774, 51.50, 17
1.454, 64.05, 17
1.449, 64.27, 17
1.262, 75.32, 10
1.124, 86.64, 11



# 4
Simulated PXRD pattern
Compound: CaLa4Pd2
Radiation: Cu Kα, 1.54184 Å
Structure: the GGA-PBE geometry in Alexandria
Lines closer than 0.1° are merged.

Cell and atoms:
abc: 8.3276 6.6669 8.4268
angles: 90.00 113.63 90.00
Sites, in units of the cell vectors:
1 Ca 0.1506 0.2500 0.0196
2 Ca 0.8494 0.7500 0.9804
3 La 0.0120 0.2500 0.3868
4 La 0.2670 0.7500 0.3511
5 La 0.4085 0.0041 0.7767
6 La 0.4085 0.4959 0.7767
7 La 0.5915 0.5041 0.2233
8 La 0.5915 0.9959 0.2233
9 La 0.7330 0.2500 0.6489
10 La 0.9880 0.7500 0.6132
11 Pd 0.2377 0.7500 0.9940
12 Pd 0.3694 0.2500 0.4159
13 Pd 0.6306 0.7500 0.5841
14 Pd 0.7623 0.2500 0.0060

Top 10 peaks for 10° ≤ 2θ ≤ 90°, in order of rising 2θ:
d [Å], 2θ (°), I (rel.)
7.629, 11.60, 63
3.056, 29.22, 84
3.010, 29.68, 76
2.994, 29.84, 78
2.802, 31.94, 57
2.767, 32.35, 83
2.693, 33.27, 100
2.608, 34.39, 55
2.597, 34.54, 91
2.523, 35.58, 76



# 5
Simulated PXRD pattern
Compound: CaLa4Pd2
Radiation: Cu Kα, 1.54184 Å
Structure: the GGA-PBE geometry in Alexandria
Lines closer than 0.1° are merged.

Cell and atoms:
abc: 7.4306 7.4377 9.0369
angles: 106.56 106.59 92.21
Sites, in units of the cell vectors:
1 Ca 0.0000 0.0000 0.0000
2 Ca 0.1384 0.8622 0.5001
3 La 0.1849 0.5664 0.7829
4 La 0.3058 0.3081 0.4118
5 La 0.4209 0.1670 0.9028
6 La 0.4354 0.8165 0.2184
7 La 0.6922 0.6938 0.5879
8 La 0.7987 0.1856 0.6843
9 La 0.8149 0.2019 0.3155
10 La 0.8336 0.5792 0.0974
11 Pd 0.1526 0.3982 0.0419
12 Pd 0.5357 0.4496 0.2380
13 Pd 0.5509 0.4642 0.7618
14 Pd 0.6014 0.8471 0.9577

Top 10 peaks for 10° ≤ 2θ ≤ 90°, in order of rising 2θ:
d [Å], 2θ (°), I (rel.)
7.064, 12.53, 69
3.265, 27.31, 100
3.158, 28.26, 40
3.074, 29.05, 74
3.006, 29.72, 35
2.934, 30.47, 39
2.877, 31.08, 63
2.610, 34.36, 33
2.128, 42.49, 47
2.081, 43.49, 29



# 6
Simulated PXRD pattern
Compound: CaLaSb2Pd5
Radiation: Cu Kα, 1.54184 Å
Structure: the GGA-PBE geometry in Alexandria
Lines closer than 0.1° are merged.

Cell and atoms:
abc: 4.6739 4.6739 8.6872
angles: 90.00 90.00 90.00
Sites, in units of the cell vectors:
1 Ca 0.0000 0.0000 0.0000
2 La 0.0000 0.0000 0.5000
3 Sb 0.5000 0.5000 0.3346
4 Sb 0.5000 0.5000 0.6654
5 Pd 0.0000 0.5000 0.2047
6 Pd 0.0000 0.5000 0.7953
7 Pd 0.5000 0.0000 0.2047
8 Pd 0.5000 0.0000 0.7953
9 Pd 0.5000 0.5000 0.0000

Top 10 peaks for 10° ≤ 2θ ≤ 90°, in order of rising 2θ:
d [Å], 2θ (°), I (rel.)
4.674, 18.99, 19
3.089, 28.90, 25
2.630, 34.09, 87
2.462, 36.50, 50
2.337, 38.52, 100
2.178, 41.46, 59
1.695, 54.11, 32
1.652, 55.62, 34
1.399, 66.87, 23
1.316, 71.70, 26